(1)
Diffraction record for Nd2Al. The X-ray powder pattern is calculated, not measured: it uses a cell relaxed with PBE and Cu Kα.
Peak positions follow from Bragg's law for the DFT cell and can differ from measured ones.

Structure:
Cell lengths 6.727, 5.252, 9.846 Å; angles 90.00, 90.00, 90.00 degrees
Space group Pnma (No. 62)
Inequivalent atoms, fractional coordinates:
Nd 0.030 0.250 0.203
Nd 0.190 0.250 0.575
Al 0.207 0.250 0.896

The 6 most intense peaks (2θ = 15–90°), by intensity:
2θ/deg, I_rel, h k l
32.2, 100, 0 1 3
32.9, 68, 2 1 1
34.1, 43, 0 2 0
23.3, 37, 1 1 1
28.2, 37, 1 1 2
31.6, 29, 2 1 0


(2)
Diffraction record for NdAl4. The X-ray powder pattern is calculated, not measured: it uses a cell relaxed with PBE and Cu Kα.
Peak positions follow from Bragg's law for the DFT cell and can differ from measured ones.

Structure:
Cell lengths 4.272, 4.272, 11.375 Å; angles 90.00, 90.00, 90.00 degrees
Space group I4/mmm (No. 139)
Inequivalent atoms, fractional coordinates:
Nd 0.000 0.000 0.000
Al 0.000 0.000 0.389
Al 0.000 0.500 0.250

The 6 most intense peaks (2θ = 15–90°), by intensity:
2θ/deg, I_rel, h k l
33.6, 100, 1 1 2
31.5, 96, 1 0 3
22.2, 68, 1 0 1
53.7, 49, 2 1 3
42.3, 39, 2 0 0
45.2, 38, 1 0 5


(3)
Diffraction record for NdAl4. The X-ray powder pattern is calculated, not measured: it uses a cell relaxed with PBE and Cu Kα.
Peak positions follow from Bragg's law for the DFT cell and can differ from measured ones.

Structure:
Cell lengths 4.431, 12.303, 11.362 Å; angles 90.00, 90.00, 90.00 degrees
Space group Imm2 (No. 44)
Inequivalent atoms, fractional coordinates:
Nd 0.000 0.000 0.000
Nd 0.000 0.331 0.970
Al 0.000 0.000 0.356
Al 0.000 0.000 0.579
Al 0.000 0.154 0.743
Al 0.000 0.182 0.227
Al 0.000 0.323 0.597
Al 0.000 0.348 0.376
Al 0.000 0.500 0.210
Al 0.000 0.500 0.730

The 6 most intense peaks (2θ = 15–90°), by intensity:
2θ/deg, I_rel, h k l
33.7, 100, 1 3 2
32.2, 41, 0 3 3
21.5, 40, 1 0 1
31.1, 37, 1 0 3
29.7, 35, 1 3 0
15.6, 35, 0 0 2


(4)
Diffraction record for Nd3Al. The X-ray powder pattern is calculated, not measured: it uses a cell relaxed with PBE and Cu Kα.
Peak positions follow from Bragg's law for the DFT cell and can differ from measured ones.

Structure:
Cell lengths 4.904, 4.904, 4.904 Å; angles 90.00, 90.00, 90.00 degrees
Space group Pm-3m (No. 221)
Inequivalent atoms, fractional coordinates:
Nd 0.000 0.000 0.500
Al 0.500 0.500 0.500

The 6 most intense peaks (2θ = 15–90°), by intensity:
2θ/deg, I_rel, h k l
31.6, 100, 1 1 1
36.6, 50, 2 0 0
62.8, 42, 3 1 1
52.8, 35, 2 2 0
18.1, 19, 1 0 0
86.5, 17, 3 3 1


(5)
Diffraction record for Nd3Al. The X-ray powder pattern is calculated, not measured: it uses a cell relaxed with PBE and Cu Kα.
Peak positions follow from Bragg's law for the DFT cell and can differ from measured ones.

Structure:
Cell lengths 7.0908, 7.0908, 5.4438 Å; angles 90.00, 90.00, 120.00 degrees
Space group P6_3/mmc (No. 194)
Inequivalent atoms, fractional coordinates:
Nd 0.1779 0.3559 0.2500
Al 0.3333 0.6667 0.7500

The 6 most intense peaks (2θ = 15–90°), by intensity:
2θ/deg, I_rel, h k l
33.5, 100, 2 0 1
21.8, 29, 1 0 1
29.1, 24, 2 0 0
32.9, 24, 0 0 2
62.5, 20, 2 2 2
59.1, 19, 2 0 3


(6)
Diffraction record for Nd2Al. The X-ray powder pattern is calculated, not measured: it uses a cell relaxed with PBE and Cu Kα.
Peak positions follow from Bragg's law for the DFT cell and can differ from measured ones.

Structure:
Cell lengths 8.996, 8.996, 8.996 Å; angles 90.00, 90.00, 90.00 degrees
Space group Fd-3m (No. 227, origin choice 2)
Inequivalent atoms, fractional coordinates:
Nd 0.000 0.000 0.000
Al 0.125 0.125 0.625

The 6 most intense peaks (2θ = 15–90°), by intensity:
2θ/deg, I_rel, h k l
33.0, 100, 3 1 1
17.1, 97, 1 1 1
34.5, 92, 2 2 2
40.1, 38, 4 0 0
58.0, 37, 4 4 0
69.3, 36, 6 2 2


(7)
Diffraction record for NdAlNi. The X-ray powder pattern is calculated, not measured: it uses a cell relaxed with PBE and Cu Kα.
Peak positions follow from Bragg's law for the DFT cell and can differ from measured ones.

Structure:
Cell lengths 7.1687, 7.1687, 3.9433 Å; angles 90.00, 90.00, 120.00 degrees
Space group P-62m (No. 189)
Inequivalent atoms, fractional coordinates:
Nd 0.0000 0.5781 0.0000
Al 0.0000 0.2249 0.5000
Ni 0.0000 0.0000 0.0000
Ni 0.3333 0.6667 0.5000

The 6 most intense peaks (2θ = 15–90°), by intensity:
2θ/deg, I_rel, h k l
36.9, 100, 2 0 1
33.8, 84, 1 1 1
28.8, 36, 2 0 0
58.5, 34, 3 1 1
38.4, 31, 2 1 0
24.8, 29, 1 1 0


(8)
Diffraction record for SrNdAlO4. The X-ray powder pattern is calculated, not measured: it uses a cell relaxed with PBE and Cu Kα.
Peak positions follow from Bragg's law for the DFT cell and can differ from measured ones.

Structure:
Cell lengths 3.771, 3.771, 12.453 Å; angles 90.00, 90.00, 90.00 degrees
Space group I4mm (No. 107)
Inequivalent atoms, fractional coordinates:
Sr 0.000 0.000 0.000
Nd 0.000 0.000 0.716
Al 0.000 0.000 0.360
O 0.000 0.000 0.195
O 0.000 0.000 0.522
O 0.000 0.500 0.350

The 6 most intense peaks (2θ = 15–90°), by intensity:
2θ/deg, I_rel, h k l
32.1, 100, 1 0 3
33.6, 72, 1 1 0
24.7, 56, 1 0 1
44.8, 53, 1 1 4
48.3, 39, 2 0 0
59.1, 37, 2 1 3